Diffraction record for RbCuC2. The powder X-ray diffraction pattern is theoretical, not measured: it uses a cell relaxed with GGA-PBE and Cu Kα X-rays.

Main lines, by intensity (10 to 80 degrees two-theta):
d = 3.218 Å, 2θ = 27.7°, intensity 100, (1 0 2); d = 3.487 Å, 2θ = 25.5°, intensity 47, (1 1 0); d = 1.957 Å, 2θ = 46.4°, intensity 41, (2 1 2); d = 2.466 Å, 2θ = 36.4°, intensity 26, (2 0 0); d = 1.813 Å, 2θ = 50.3°, intensity 15, (1 1 4); d = 1.609 Å, 2θ = 57.3°, intensity 13, (2 0 4); d = 1.302 Å, 2θ = 72.6°, intensity 12, (3 2 2); d = 1.533 Å, 2θ = 60.4°, intensity 12, (3 0 2); d = 1.559 Å, 2θ = 59.3°, intensity 11, (3 1 0); d = 1.257 Å, 2θ = 75.7°, intensity 10, (3 1 4); d = 2.123 Å, 2θ = 42.6°, intensity 9, (0 0 4); d = 1.743 Å, 2θ = 52.5°, intensity 8, (2 2 0)

Crystal structure
```
data_RbCuC2
_chemical_formula_sum 'Rb2 Cu2 C4'
_symmetry_space_group_name_H-M 'P 42/m m c'
_symmetry_Int_Tables_number 131
_symmetry_space_group_name_Hall '-P 4c 2'
_cell_length_a 4.9311
_cell_length_b 4.9311
_cell_length_c 8.4926
_cell_angle_alpha 90.00
_cell_angle_beta 90.00
_cell_angle_gamma 90.00
loop_
_atom_site_label
_atom_site_type_symbol
_atom_site_fract_x
_atom_site_fract_y
_atom_site_fract_z
Rb1 Rb 0.0000 0.0000 0.2500
Cu1 Cu 0.5000 0.5000 0.0000
C1 C 0.1272 0.5000 0.0000
```